Starting from a DFT-relaxed cell (PBE+U, the Materials Project), the XRD peak list of CaMnP2O7 was simulated for copper Kα.
Neutral-atom scattering factors, no anomalous dispersion.

Cell and atoms:
Unit cell a=6.256 b=6.717 c=7.289 alpha=83.01 beta=88.37 gamma=68.29
Atoms (fractional coordinates):
Ca1 0.191 0.296 0.358
Ca2 0.809 0.704 0.642
Mn1 0.246 0.869 0.807
Mn2 0.754 0.131 0.193
P1 0.268 0.780 0.379
P2 0.327 0.343 0.880
P3 0.673 0.657 0.120
P4 0.732 0.220 0.621
O1 0.111 0.997 0.276
O2 0.140 0.632 0.449
O3 0.158 0.578 0.852
O4 0.248 0.186 0.796
O5 0.402 0.825 0.534
O6 0.412 0.270 0.082
O7 0.444 0.650 0.232
O8 0.556 0.350 0.768
O9 0.588 0.730 0.918
O10 0.598 0.175 0.466
O11 0.752 0.814 0.204
O12 0.842 0.422 0.148
O13 0.860 0.368 0.551
O14 0.889 0.003 0.724

Most intense lines, 5° ≤ 2θ ≤ 70°, in order of rising 2θ:
2θ/deg, I_rel
19.42, 17
24.61, 15
27.16, 45
28.47, 42
28.83, 100
29.32, 47
30.78, 44
40.15, 11
41.01, 11
43.37, 12
43.89, 10
53.27, 11